# Sr8Fe2Ru2O13
Theoretical powder X-ray diffraction pattern, copper Kα. Input: the GGA+U geometry in the Materials Project.
Intensities are scaled so that the largest is 100.

Main lines, low angle first (15° ≤ 2θ ≤ 90°):
| two_theta | I (rel.) | hkl |
| --- | --- | --- |
| 30.83 | 84 | 1 3 1 |
| 31.72 | 100 | 3 3 -1 |
| 32.92 | 64 | 2 0 -2 |
| 33.29 | 63 | 4 0 0 |
| 41.98 | 31 | 0 6 0 |
| 46.27 | 31 | 2 0 2 |
| 48.76 | 26 | 6 0 -2 |
| 54.36 | 20 | 2 6 -2 |
| 54.60 | 20 | 4 6 0 |
| 56.95 | 20 | 1 3 -3 |
| 57.42 | 18 | 5 3 1 |
| 64.24 | 16 | 2 6 2 |

Cell and atoms:
```
data_Sr8Fe2Ru2O13
_space_group_name_H-M_alt 'C 1 2/m 1'
_space_group_IT_number 12
_cell_length_a 11.834
_cell_length_b 12.912
_cell_length_c 5.448
_cell_angle_alpha 90.00
_cell_angle_beta 114.54
_cell_angle_gamma 90.00
loop_
_space_group_symop_operation_xyz
'x,y,z'
'-x,-y,-z'
'-x,y,-z'
'x,-y,z'
'x+1/2,y+1/2,z'
'-x+1/2,-y+1/2,-z'
'-x+1/2,y+1/2,-z'
'x+1/2,-y+1/2,z'
loop_
_atom_site_label
_atom_site_type_symbol
_atom_site_fract_x
_atom_site_fract_y
_atom_site_fract_z
Sr1 Sr 0.124 0.144 0.369
Sr2 Sr 0.125 0.349 0.869
Fe1 Fe 0.127 0.000 0.875
Ru1 Ru 0.120 0.500 0.364
O1 O 0.000 0.000 0.000
O2 O 0.000 0.000 0.500
O3 O 0.000 0.500 0.000
O4 O 0.124 0.340 0.375
O5 O 0.138 0.157 0.862
O6 O 0.236 0.500 0.753
```